1.
# Pr2ErTh4
Simulated X-ray diffraction stick pattern, a wavelength of 1.5418 Å. Input: a cell relaxed with GGA-PBE.
Peak positions follow from Bragg's law for the DFT cell and can differ from measured ones.

Structure:
a = 3.585 Å, b = 36.515 Å, c = 3.592 Å
α = 90.00°, β = 90.00°, γ = 90.00°
Space group Cmmm (No. 65)
Asymmetric unit:
Pr  0.000  0.205  0.000 (multiplicity 4)
Er  0.000  0.500  0.500 (multiplicity 2)
Th  0.000  0.069  0.000 (multiplicity 4)
Th  0.000  0.364  0.500 (multiplicity 4)

Most intense lines, 5 to 70 degrees two-theta, low angle first:
- 9.69 deg, rel. 18, hkl 0 4 0
- 28.86 deg, rel. 32, hkl 0 6 1
- 30.25 deg, rel. 100, hkl 1 7 0
- 31.70 deg, rel. 70, hkl 0 8 1
- 34.38 deg, rel. 29, hkl 0 14 0
- 35.46 deg, rel. 70, hkl 1 1 1
- 52.06 deg, rel. 45, hkl 1 15 1
- 60.31 deg, rel. 29, hkl 1 7 2
- 61.26 deg, rel. 22, hkl 2 8 1
- 62.87 deg, rel. 21, hkl 2 14 0



2.
# PrEr7Th2
Simulated X-ray diffraction stick pattern, a wavelength of 1.5418 Å. Input: a cell relaxed with GGA-PBE.
Peak positions follow from Bragg's law for the DFT cell and can differ from measured ones.

Structure:
a = 12.362 Å, b = 11.336 Å, c = 5.542 Å
α = 90.00°, β = 116.17°, γ = 90.00°
Space group C2/m (No. 12)
Asymmetric unit:
Pr  0.000  0.000  0.000 (multiplicity 2)
Er  0.000  0.335  0.000 (multiplicity 4)
Er  0.000  0.500  0.500 (multiplicity 2)
Er  0.247  0.348  0.747 (multiplicity 8)
Th  0.000  0.156  0.500 (multiplicity 4)

Most intense lines, 5 to 70 degrees two-theta, low angle first:
- 23.93 deg, rel. 17, hkl 1 1 1
- 24.11 deg, rel. 17, hkl 3 1 -1
- 32.29 deg, rel. 100, hkl 2 0 -2
- 32.85 deg, rel. 92, hkl 1 3 1
- 32.99 deg, rel. 91, hkl 3 3 -1
- 46.12 deg, rel. 19, hkl 2 0 2
- 46.51 deg, rel. 18, hkl 6 0 -2
- 57.86 deg, rel. 37, hkl 1 3 -3
- 58.11 deg, rel. 37, hkl 5 3 -3
- 59.18 deg, rel. 31, hkl 2 6 -2



3.
# Pr3Er12Th
Simulated X-ray diffraction stick pattern, a wavelength of 1.5418 Å. Input: a cell relaxed with GGA-PBE.
Peak positions follow from Bragg's law for the DFT cell and can differ from measured ones.

Structure:
a = 5.021 Å, b = 5.021 Å, c = 20.103 Å
α = 90.00°, β = 90.00°, γ = 90.00°
Space group P4/mmm (No. 123)
Asymmetric unit:
Pr  0.000  0.000  0.000 (multiplicity 1)
Pr  0.000  0.000  0.251 (multiplicity 2)
Er  0.000  0.500  0.126 (multiplicity 4)
Er  0.000  0.500  0.378 (multiplicity 4)
Er  0.500  0.500  0.000 (multiplicity 1)
Er  0.500  0.500  0.251 (multiplicity 2)
Er  0.500  0.500  0.500 (multiplicity 1)
Th  0.000  0.000  0.500 (multiplicity 1)

Most intense lines, 5 to 70 degrees two-theta, low angle first:
- 8.80 deg, rel. 1, hkl 0 0 2
- 30.84 deg, rel. 100, hkl 1 1 4
- 35.76 deg, rel. 51, hkl 2 0 0
- 51.46 deg, rel. 36, hkl 2 2 0
- 61.21 deg, rel. 43, hkl 3 1 4
- 64.24 deg, rel. 12, hkl 2 2 8



4.
# PrEr7Th3
Simulated X-ray diffraction stick pattern, a wavelength of 1.5418 Å. Input: a cell relaxed with GGA-PBE.
Peak positions follow from Bragg's law for the DFT cell and can differ from measured ones.

Structure:
a = 7.0453 Å, b = 7.0453 Å, c = 8.5431 Å
α = 90.00°, β = 90.00°, γ = 120.00°
Space group P3m1 (No. 156)
Asymmetric unit:
Pr  0.0000  0.0000  0.0000 (multiplicity 1)
Er  0.0029  0.5015  0.0037 (multiplicity 3)
Er  0.3325  0.1663  0.3412 (multiplicity 3)
Er  0.3333  0.6667  0.3408 (multiplicity 1)
Th  0.1681  0.3362  0.6693 (multiplicity 3)

Most intense lines, 5 to 70 degrees two-theta, low angle first:
- 17.86 deg, rel. 10, hkl 0 1 1
- 31.13 deg, rel. 100, hkl 2 0 1
- 31.41 deg, rel. 33, hkl 0 0 3
- 36.18 deg, rel. 67, hkl 0 2 2
- 51.91 deg, rel. 24, hkl 2 2 0
- 52.29 deg, rel. 24, hkl 2 0 4
- 61.78 deg, rel. 14, hkl 0 4 1
- 61.95 deg, rel. 29, hkl 2 2 3
- 62.28 deg, rel. 14, hkl 0 2 5
- 64.91 deg, rel. 12, hkl 4 0 2



5.
# Pr3Er4Th
Simulated X-ray diffraction stick pattern, a wavelength of 1.5418 Å. Input: a cell relaxed with GGA-PBE.
Peak positions follow from Bragg's law for the DFT cell and can differ from measured ones.

Structure:
a = 11.615 Å, b = 7.251 Å, c = 6.291 Å
α = 90.00°, β = 90.00°, γ = 90.00°
Space group Pmn2_1 (No. 31)
Asymmetric unit:
Pr  0.000  0.121  0.000 (multiplicity 2)
Pr  0.246  0.125  0.340 (multiplicity 4)
Er  0.000  0.381  0.509 (multiplicity 2)
Er  0.000  0.626  0.014 (multiplicity 2)
Er  0.248  0.623  0.347 (multiplicity 4)
Th  0.000  0.866  0.515 (multiplicity 2)

Most intense lines, 5 to 70 degrees two-theta, low angle first:
- 28.40 deg, rel. 24, hkl 0 0 2
- 30.79 deg, rel. 25, hkl 4 0 0
- 32.39 deg, rel. 100, hkl 2 2 1
- 42.38 deg, rel. 16, hkl 4 0 2
- 50.29 deg, rel. 19, hkl 0 4 0
- 55.77 deg, rel. 21, hkl 6 2 1
- 60.13 deg, rel. 23, hkl 4 4 0
- 61.10 deg, rel. 16, hkl 2 0 4
- 64.14 deg, rel. 3, hkl 8 0 0
- 67.81 deg, rel. 4, hkl 4 4 2



6.
# Pr8Er2Th
Simulated X-ray diffraction stick pattern, a wavelength of 1.5418 Å. Input: a cell relaxed with GGA-PBE.
Peak positions follow from Bragg's law for the DFT cell and can differ from measured ones.

Structure:
a = 10.506 Å, b = 13.737 Å, c = 5.491 Å
α = 90.00°, β = 90.08°, γ = 90.00°
Space group C2/m (No. 12)
Asymmetric unit:
Pr  0.000  0.248  0.000 (multiplicity 4)
Pr  0.166  0.369  0.501 (multiplicity 8)
Pr  0.169  0.000  0.000 (multiplicity 4)
Er  0.000  0.119  0.500 (multiplicity 4)
Th  0.000  0.500  0.000 (multiplicity 2)

Most intense lines, 5 to 70 degrees two-theta, low angle first:
- 30.71 deg, rel. 100, hkl 0 4 1
- 30.98 deg, rel. 89, hkl 3 1 1
- 32.18 deg, rel. 43, hkl 3 3 0
- 32.62 deg, rel. 43, hkl 0 0 2
- 41.79 deg, rel. 18, hkl 3 5 0
- 46.47 deg, rel. 31, hkl 3 3 2
- 53.99 deg, rel. 17, hkl 3 5 2
- 56.29 deg, rel. 19, hkl 3 7 1
- 57.02 deg, rel. 17, hkl 0 4 3
- 57.18 deg, rel. 16, hkl 3 1 3



7.
# Pr5ErTh
Simulated X-ray diffraction stick pattern, a wavelength of 1.5418 Å. Input: a cell relaxed with GGA-PBE.
Peak positions follow from Bragg's law for the DFT cell and can differ from measured ones.

Structure:
a = 5.957 Å, b = 8.922 Å, c = 12.277 Å
α = 90.00°, β = 90.00°, γ = 90.00°
Space group Immm (No. 71)
Asymmetric unit:
Pr  0.000  0.000  0.000 (multiplicity 2)
Pr  0.000  0.179  0.500 (multiplicity 4)
Pr  0.000  0.500  0.251 (multiplicity 4)
Er  0.000  0.500  0.500 (multiplicity 2)
Th  0.000  0.500  0.000 (multiplicity 2)

Most intense lines, 5 to 70 degrees two-theta, low angle first:
- 14.43 deg, rel. 100, hkl 0 0 2
- 17.90 deg, rel. 72, hkl 1 1 0
- 19.90 deg, rel. 70, hkl 0 2 0
- 25.99 deg, rel. 51, hkl 1 2 1
- 29.09 deg, rel. 82, hkl 0 0 4
- 30.00 deg, rel. 76, hkl 2 0 0
- 33.68 deg, rel. 61, hkl 1 3 0
- 35.50 deg, rel. 33, hkl 0 2 4
- 42.28 deg, rel. 60, hkl 2 0 4
- 45.10 deg, rel. 54, hkl 1 3 4



8.
# Pr8ErTh4
Simulated X-ray diffraction stick pattern, a wavelength of 1.5418 Å. Input: a cell relaxed with GGA-PBE.
Peak positions follow from Bragg's law for the DFT cell and can differ from measured ones.

Structure:
a = 11.4846 Å, b = 11.4846 Å, c = 13.1563 Å
α = 90.00°, β = 90.00°, γ = 120.00°
Space group R-3m (No. 166, hexagonal axes)
Asymmetric unit:
Pr  0.0000  0.0000  0.2365 (multiplicity 6)
Pr  0.0061  0.5031  0.7326 (multiplicity 18)
Er  0.0000  0.0000  0.5000 (multiplicity 3)
Th  0.0000  0.0000  0.0000 (multiplicity 3)
Th  0.0000  0.5000  0.0000 (multiplicity 9)

Most intense lines, 5 to 70 degrees two-theta, low angle first:
- 19.08 deg, rel. 29, hkl 0 2 1
- 20.25 deg, rel. 17, hkl 0 0 3
- 31.15 deg, rel. 100, hkl 2 2 0
- 32.64 deg, rel. 81, hkl 0 2 4
- 37.44 deg, rel. 22, hkl 2 2 3
- 45.74 deg, rel. 32, hkl 4 0 4
- 55.43 deg, rel. 20, hkl 6 0 0
- 56.38 deg, rel. 35, hkl 2 4 4
- 59.17 deg, rel. 11, hkl 2 0 8
- 64.96 deg, rel. 12, hkl 4 4 0



9.
# Pr2ErTh
Simulated X-ray diffraction stick pattern, a wavelength of 1.5418 Å. Input: a cell relaxed with GGA-PBE.
Peak positions follow from Bragg's law for the DFT cell and can differ from measured ones.

Structure:
a = 12.550 Å, b = 7.227 Å, c = 6.297 Å
α = 90.00°, β = 109.09°, γ = 90.00°
Space group C2/c (No. 15)
Asymmetric unit:
Pr  0.249  0.128  0.250 (multiplicity 8)
Er  0.000  0.372  0.250 (multiplicity 4)
Th  0.000  0.115  0.750 (multiplicity 4)

Most intense lines, 5 to 70 degrees two-theta, low angle first:
- 30.03 deg, rel. 50, hkl 0 0 2
- 30.14 deg, rel. 50, hkl 4 0 0
- 30.27 deg, rel. 97, hkl 2 2 -1
- 34.99 deg, rel. 100, hkl 4 0 -2
- 50.03 deg, rel. 12, hkl 4 0 2
- 50.27 deg, rel. 24, hkl 2 2 -3
- 50.41 deg, rel. 24, hkl 6 2 -1
- 59.54 deg, rel. 15, hkl 2 2 3
- 59.69 deg, rel. 22, hkl 4 0 -4
- 59.93 deg, rel. 49, hkl 8 0 -2



10.
# Pr5Er5Th2
Simulated X-ray diffraction stick pattern, a wavelength of 1.5418 Å. Input: a cell relaxed with GGA-PBE.
Peak positions follow from Bragg's law for the DFT cell and can differ from measured ones.

Structure:
a = 6.225 Å, b = 8.058 Å, c = 8.856 Å
α = 111.02°, β = 90.38°, γ = 104.93°
Space group P-1 (No. 2)
Asymmetric unit:
Pr  0.000  0.000  0.000 (multiplicity 1)
Pr  0.083  0.743  0.582 (multiplicity 2)
Pr  0.253  0.260  0.753 (multiplicity 2)
Er  0.336  0.996  0.330 (multiplicity 2)
Er  0.415  0.748  0.917 (multiplicity 2)
Er  0.500  0.500  0.500 (multiplicity 1)
Th  0.167  0.503  0.162 (multiplicity 2)

Most intense lines, 5 to 70 degrees two-theta, low angle first:
- 30.25 deg, rel. 100, hkl 0 1 -3
- 30.39 deg, rel. 49, hkl 1 2 -1
- 30.51 deg, rel. 49, hkl 2 -1 1
- 35.14 deg, rel. 67, hkl 1 1 2
- 35.28 deg, rel. 33, hkl 1 -3 2
- 50.57 deg, rel. 24, hkl 1 3 -4
- 50.72 deg, rel. 24, hkl 3 -3 0
- 59.90 deg, rel. 22, hkl 2 1 -5
- 60.21 deg, rel. 28, hkl 3 2 -3
- 60.32 deg, rel. 21, hkl -4 1 1



11.
# Pr7Er4Th
Simulated X-ray diffraction stick pattern, a wavelength of 1.5418 Å. Input: a cell relaxed with GGA-PBE.
Peak positions follow from Bragg's law for the DFT cell and can differ from measured ones.

Structure:
a = 6.355 Å, b = 7.323 Å, c = 9.030 Å
α = 90.16°, β = 103.72°, γ = 90.01°
Space group P-1 (No. 2)
Asymmetric unit:
Pr  0.000  0.000  0.000 (multiplicity 1)
Pr  0.220  0.500  0.670 (multiplicity 2)
Pr  0.278  0.251  0.333 (multiplicity 2)
Pr  0.499  0.251  0.997 (multiplicity 2)
Er  0.218  0.000  0.662 (multiplicity 2)
Er  0.274  0.753  0.330 (multiplicity 2)
Th  0.000  0.500  0.000 (multiplicity 1)

Most intense lines, 5 to 70 degrees two-theta, low angle first:
- 28.32 deg, rel. 44, hkl 1 2 0
- 30.57 deg, rel. 57, hkl 0 0 3
- 31.26 deg, rel. 78, hkl 2 0 -2
- 31.35 deg, rel. 38, hkl 1 2 1
- 32.95 deg, rel. 100, hkl 2 0 1
- 49.75 deg, rel. 44, hkl 0 4 0
- 53.64 deg, rel. 17, hkl 2 0 -5
- 59.45 deg, rel. 26, hkl 3 2 -4
- 59.64 deg, rel. 17, hkl 0 4 3
- 59.96 deg, rel. 18, hkl 2 4 -2



12.
# PrYEr2Th
Simulated X-ray diffraction stick pattern, a wavelength of 1.5418 Å. Input: a cell relaxed with GGA-PBE.
Peak positions follow from Bragg's law for the DFT cell and can differ from measured ones.

Structure:
a = 3.547 Å, b = 5.650 Å, c = 8.673 Å
α = 90.00°, β = 90.00°, γ = 90.00°
Space group Pmmm (No. 47)
Asymmetric unit:
Pr  0.000  0.000  0.000 (multiplicity 1)
Y  0.500  0.000  0.500 (multiplicity 1)
Er  0.000  0.500  0.322 (multiplicity 2)
Th  0.500  0.500  0.000 (multiplicity 1)

Most intense lines, 5 to 70 degrees two-theta, low angle first:
- 15.68 deg, rel. 37, hkl 0 1 0
- 30.93 deg, rel. 26, hkl 0 0 3
- 31.52 deg, rel. 100, hkl 1 1 1
- 31.67 deg, rel. 42, hkl 0 2 0
- 32.61 deg, rel. 18, hkl 1 0 2
- 34.86 deg, rel. 26, hkl 0 1 3
- 36.38 deg, rel. 44, hkl 1 1 2
- 44.86 deg, rel. 19, hkl 0 2 3
- 56.31 deg, rel. 19, hkl 1 3 1
- 61.75 deg, rel. 33, hkl 2 2 0



13.
# Pr6Y2ErTh
Simulated X-ray diffraction stick pattern, a wavelength of 1.5418 Å. Input: a cell relaxed with GGA-PBE.
Peak positions follow from Bragg's law for the DFT cell and can differ from measured ones.

Structure:
a = 9.626 Å, b = 15.129 Å, c = 9.635 Å
α = 90.00°, β = 96.42°, γ = 90.00°
Space group C2/c (No. 15)
Asymmetric unit:
Pr  0.063  0.172  0.438 (multiplicity 8)
Pr  0.090  0.388  0.615 (multiplicity 8)
Pr  0.211  0.215  0.809 (multiplicity 8)
Y  0.247  0.044  0.055 (multiplicity 8)
Er  0.000  0.410  0.250 (multiplicity 4)
Th  0.000  0.035  0.750 (multiplicity 4)

Most intense lines, 5 to 70 degrees two-theta, low angle first:
- 27.50 deg, rel. 22, hkl 2 2 -2
- 28.04 deg, rel. 53, hkl 1 3 2
- 29.11 deg, rel. 65, hkl 3 1 -1
- 30.12 deg, rel. 20, hkl 2 4 0
- 30.26 deg, rel. 67, hkl 2 2 2
- 30.40 deg, rel. 64, hkl 0 2 3
- 30.96 deg, rel. 100, hkl 2 4 -1
- 32.10 deg, rel. 23, hkl 1 5 -1
- 33.67 deg, rel. 26, hkl 1 3 -3
- 34.11 deg, rel. 27, hkl 2 2 -3